Simulated X-ray powder pattern of Mg5Ge for copper Kα, from a GGA-PBE-relaxed structure.
Peak positions follow from Bragg's law for the DFT cell and can differ from measured ones.

Main lines, low angle first (2θ = 10–90°):
2θ (°)	Rel. int.
19.83	21
22.27	14
33.13	28
35.25	26
37.67	100
49.15	18
59.18	17
64.86	19
70.80	20
72.31	14

Crystal structure
Unit cell a=5.973 b=5.973 c=5.973 alpha=53.84 beta=53.84 gamma=53.84
Element x y z (fractional)
Mg 0.000 0.340 0.660
Mg 0.167 0.167 0.167
Mg 0.340 0.660 0.000
Mg 0.660 0.000 0.340
Mg 0.833 0.833 0.833
Ge 0.500 0.500 0.500

Simulated X-ray powder pattern of MgGe for copper Kα, from a GGA-PBE-relaxed structure.
Peak positions follow from Bragg's law for the DFT cell and can differ from measured ones.

Main lines, low angle first (2θ = 10–90°):
2θ (°)	Rel. int.
25.51	53
27.93	33
34.22	42
35.42	70
38.45	45
40.78	100
49.25	18
52.41	24
67.62	21
71.13	18

Crystal structure
Unit cell a=8.362 b=8.362 c=8.362 alpha=157.50 beta=147.48 gamma=39.91
Element x y z (fractional)
Mg 0.000 0.000 0.000
Mg 0.323 0.823 0.500
Mg 0.677 0.177 0.500
Ge 0.145 0.645 0.500
Ge 0.500 0.500 0.000
Ge 0.855 0.355 0.500

Simulated X-ray powder pattern of Mg19Ge5 for copper Kα, from a GGA-PBE-relaxed structure.
Peak positions follow from Bragg's law for the DFT cell and can differ from measured ones.

Main lines, low angle first (2θ = 10–90°):
2θ (°)	Rel. int.
18.85	14
24.41	9
26.78	8
31.02	55
36.55	100
38.24	20
55.19	16
58.86	27
64.67	20
77.69	7

Crystal structure
Unit cell a=8.153 b=8.153 c=8.153 alpha=90.00 beta=90.00 gamma=90.00
Element x y z (fractional)
Mg 0.000 0.000 0.500
Mg 0.000 0.500 0.000
Mg 0.126 0.126 0.874
Mg 0.126 0.874 0.126
Mg 0.130 0.377 0.623
Mg 0.130 0.623 0.377
Mg 0.377 0.130 0.623
Mg 0.377 0.377 0.870
Mg 0.377 0.623 0.130
Mg 0.377 0.870 0.377
Mg 0.500 0.000 0.000
Mg 0.623 0.130 0.377
Mg 0.623 0.377 0.130
Mg 0.623 0.623 0.870
Mg 0.623 0.870 0.623
Mg 0.870 0.377 0.377
Mg 0.870 0.623 0.623
Mg 0.874 0.126 0.126
Mg 0.874 0.874 0.874
Ge 0.226 0.226 0.226
Ge 0.226 0.774 0.774
Ge 0.500 0.500 0.500
Ge 0.774 0.226 0.774
Ge 0.774 0.774 0.226

Simulated X-ray powder pattern of MgMn6Ge6 for copper Kα, from a GGA-PBE-relaxed structure.
Peak positions follow from Bragg's law for the DFT cell and can differ from measured ones.

Main lines, low angle first (2θ = 10–90°):
2θ (°)	Rel. int.
34.74	56
40.32	35
41.57	68
45.15	22
46.47	100
49.77	30
66.94	16
73.18	18
73.31	28
80.88	23

Crystal structure
Unit cell a=6.544 b=6.544 c=6.544 alpha=133.55 beta=104.29 gamma=93.68
Element x y z (fractional)
Mg 0.000 0.000 0.000
Mn 0.000 0.000 0.500
Mn 0.000 0.500 0.000
Mn 0.252 0.500 0.752
Mn 0.500 0.000 0.000
Mn 0.500 0.500 0.500
Mn 0.748 0.500 0.248
Ge 0.167 0.667 0.500
Ge 0.333 0.333 0.000
Ge 0.336 0.000 0.336
Ge 0.664 0.000 0.664
Ge 0.667 0.667 0.000
Ge 0.833 0.333 0.500